[1]
Theoretical powder X-ray diffraction pattern
Compound: CaFe3Si2O9
Radiation: CuKα
Structure: the PBE+U geometry in the Materials Project
Neutral-atom scattering factors, no anomalous dispersion.

Unit cell a=20.126 b=5.981 c=9.188 alpha=90.00 beta=90.00 gamma=90.00
Space group Pnma (No. 62)
Asymmetric unit:
Ca  0.046  0.250  0.012
Fe  0.135  0.002  0.368
Fe  0.241  0.750  0.556
Si  0.054  0.750  0.223
Si  0.249  0.250  0.345
O  0.019  0.533  0.152
O  0.067  0.750  0.406
O  0.098  0.250  0.454
O  0.138  0.750  0.201
O  0.181  0.250  0.229
O  0.188  0.750  0.742
O  0.231  0.020  0.438

Peak list (8 most intense, 2θ from 10° to 90°, low angle first)
2θ/deg  Rel. int.
13.0  100
16.4  48
19.8  50
28.4  10
29.5  7
33.1  10
36.1  12
44.4  9

---

[2]
Theoretical powder X-ray diffraction pattern
Compound: Ca2ZnFeSi4O12
Radiation: CuKα
Structure: the PBE+U geometry in the Materials Project
Neutral-atom scattering factors, no anomalous dispersion.

Unit cell a=7.715 b=7.727 c=9.394 alpha=109.40 beta=103.64 gamma=107.95
Space group P1 (No. 1)
Asymmetric unit:
Ca  0.000  0.000  0.000
Ca  0.154  0.404  0.750
Ca  0.500  0.999  0.500
Ca  0.656  0.405  0.251
Zn  0.048  0.798  0.250
Zn  0.548  0.798  0.750
Fe  0.107  0.607  0.500
Fe  0.607  0.607  0.000
Si  0.285  0.507  0.205
Si  0.304  0.081  0.796
Si  0.351  0.322  0.455
Si  0.368  0.897  0.045
Si  0.785  0.508  0.704
Si  0.803  0.080  0.295
Si  0.852  0.323  0.955
Si  0.868  0.897  0.545
O  0.061  0.032  0.725
O  0.095  0.371  0.023
O  0.167  0.819  0.075
O  0.238  0.672  0.330
O  0.243  0.092  0.425
O  0.306  0.334  0.275
O  0.313  0.493  0.582
O  0.345  0.910  0.670
O  0.348  0.071  0.977
O  0.410  0.731  0.917
O  0.412  0.311  0.825
O  0.487  0.588  0.177
O  0.561  0.032  0.225
O  0.594  0.371  0.523
O  0.668  0.819  0.575
O  0.739  0.674  0.829
O  0.744  0.092  0.925
O  0.807  0.336  0.775
O  0.813  0.493  0.082
O  0.842  0.907  0.169
O  0.848  0.071  0.477
O  0.910  0.731  0.417
O  0.912  0.309  0.323
O  0.986  0.588  0.675

Peak list (8 most intense, 2θ from 10° to 90°, low angle first)
2θ/deg  Rel. int.
13.4  30
29.3  100
29.5  39
34.4  36
34.9  88
41.5  26
51.2  17
55.8  21

---

[3]
Theoretical powder X-ray diffraction pattern
Compound: SrCaSmFeO6
Radiation: CuKα
Structure: the PBE+U geometry in the Materials Project
Neutral-atom scattering factors, no anomalous dispersion.

Unit cell a=8.199 b=8.199 c=8.199 alpha=90.00 beta=90.00 gamma=90.00
Space group F-43m (No. 216)
Asymmetric unit:
Sr  0.000  0.000  0.000
Ca  0.000  0.000  0.500
Sm  0.250  0.250  0.750
Fe  0.250  0.250  0.250
O  0.022  0.250  0.250

Peak list (8 most intense, 2θ from 10° to 90°, low angle first)
2θ/deg  Rel. int.
18.7  18
21.7  17
30.8  100
44.2  35
54.9  38
64.3  21
73.0  17
89.4  21